Calculated powder X-ray diffraction pattern of Re3Ni2P5 for Cu Kα (weighted mean of Kα1 and Kα2), from a GGA-PBE-relaxed structure.
Peak positions follow from Bragg's law for the DFT cell and can differ from measured ones.

Most intense lines, 10° ≤ 2θ ≤ 80°, by angle:
(0 1 5), 21.24 deg, 4.184 Å, I = 61
(0 0 10), 29.56 deg, 3.022 Å, I = 34
(0 2 0), 30.84 deg, 2.899 Å, I = 44
(1 0 5), 32.19 deg, 2.780 Å, I = 100
(0 2 10), 43.25 deg, 2.092 Å, I = 53
(1 1 10), 44.50 deg, 2.036 Å, I = 47
(1 2 5), 45.18 deg, 2.007 Å, I = 100
(0 1 15), 47.80 deg, 1.903 Å, I = 27
(1 0 15), 54.14 deg, 1.694 Å, I = 20
(2 2 10), 75.90 deg, 1.254 Å, I = 20

Structural model:
```
data_Re3Ni2P5
_cell_length_a 3.1316
_cell_length_b 5.7985
_cell_length_c 30.2153
_cell_angle_alpha 90.00
_cell_angle_beta 90.00
_cell_angle_gamma 90.00
_symmetry_space_group_name_H-M 'I m m 2'
_symmetry_Int_Tables_number 44
_symmetry_space_group_name_Hall 'I 2 -2'
loop_
_atom_site_label
_atom_site_type_symbol
_atom_site_fract_x
_atom_site_fract_y
_atom_site_fract_z
_atom_site_occupancy
Re1 Re 0.0000 0.0000 0.0000 1
Re2 Re 0.0000 0.0000 0.1980 1
Re3 Re 0.0000 0.0000 0.3975 1
Re4 Re 0.0000 0.0000 0.5982 1
Re5 Re 0.0000 0.0000 0.7959 1
Re6 Re 0.0000 0.5000 0.3797 1
Ni1 Ni 0.0000 0.5000 0.1775 1
Ni2 Ni 0.0000 0.5000 0.5789 1
Ni3 Ni 0.0000 0.5000 0.7779 1
Ni4 Ni 0.0000 0.5000 0.9780 1
P1 P 0.0000 0.2885 0.8521 1
P2 P 0.0000 0.2925 0.4529 1
P3 P 0.0000 0.2952 0.2508 1
P4 P 0.0000 0.2949 0.6519 1
P5 P 0.0000 0.2967 0.0524 1
```


Calculated powder X-ray diffraction pattern of Ni10SbP3 for Cu Kα (weighted mean of Kα1 and Kα2), from a GGA-PBE-relaxed structure.
Peak positions follow from Bragg's law for the DFT cell and can differ from measured ones.

Most intense lines, 10° ≤ 2θ ≤ 80°, by angle:
(1 1 3), 36.50 deg, 2.462 Å, I = 57
(1 2 1), 37.04 deg, 2.427 Å, I = 34
(2 0 3), 39.02 deg, 2.308 Å, I = 32
(1 2 2), 40.55 deg, 2.225 Å, I = 34
(3 0 0), 40.80 deg, 2.212 Å, I = 19
(3 0 1), 41.91 deg, 2.156 Å, I = 54
(1 1 4), 44.41 deg, 2.040 Å, I = 52
(0 3 2), 45.10 deg, 2.010 Å, I = 47
(2 0 4), 46.58 deg, 1.950 Å, I = 92
(2 2 0), 47.47 deg, 1.915 Å, I = 100

Structural model:
```
data_Ni10SbP3
_cell_length_a 7.6616
_cell_length_b 7.6616
_cell_length_c 9.6405
_cell_angle_alpha 90.00
_cell_angle_beta 90.00
_cell_angle_gamma 120.00
_symmetry_space_group_name_H-M 'P -3 m 1'
_symmetry_Int_Tables_number 164
_symmetry_space_group_name_Hall '-P 3 2"'
loop_
_atom_site_label
_atom_site_type_symbol
_atom_site_fract_x
_atom_site_fract_y
_atom_site_fract_z
_atom_site_occupancy
Ni1 Ni 0.0000 0.0000 0.1196 1
Ni2 Ni 0.0000 0.3367 0.0000 1
Ni3 Ni 0.0164 0.5082 0.2596 1
Ni4 Ni 0.1366 0.2733 0.6983 1
Ni5 Ni 0.1886 0.3772 0.4278 1
Ni6 Ni 0.3333 0.6667 0.1117 1
Ni7 Ni 0.3333 0.6667 0.5975 1
Sb1 Sb 0.0000 0.0000 0.5000 1
Sb2 Sb 0.3333 0.6667 0.8601 1
P1 P 0.0000 0.5000 0.5000 1
P2 P 0.1646 0.3293 0.1908 1
```


Calculated powder X-ray diffraction pattern of Si3NiP4 for Cu Kα (weighted mean of Kα1 and Kα2), from a GGA-PBE-relaxed structure.
Peak positions follow from Bragg's law for the DFT cell and can differ from measured ones.

Most intense lines, 10° ≤ 2θ ≤ 80°, by angle:
(0 0 2), 17.00 deg, 5.215 Å, I = 5
(1 0 1), 19.06 deg, 4.656 Å, I = 12
(1 1 0), 24.19 deg, 3.679 Å, I = 3
(1 1 2), 29.72 deg, 3.006 Å, I = 100
(2 1 3), 46.97 deg, 1.934 Å, I = 3
(2 2 0), 49.51 deg, 1.841 Å, I = 64
(1 1 6), 58.75 deg, 1.572 Å, I = 12
(3 1 2), 58.85 deg, 1.569 Å, I = 25
(0 0 8), 72.50 deg, 1.304 Å, I = 3
(4 0 0), 72.69 deg, 1.301 Å, I = 7

Structural model:
```
data_Si3NiP4
_cell_length_a 5.2034
_cell_length_b 5.2034
_cell_length_c 10.4296
_cell_angle_alpha 90.00
_cell_angle_beta 90.00
_cell_angle_gamma 90.00
_symmetry_space_group_name_H-M 'I -4 2 m'
_symmetry_Int_Tables_number 121
_symmetry_space_group_name_Hall 'I -4 2'
loop_
_atom_site_label
_atom_site_type_symbol
_atom_site_fract_x
_atom_site_fract_y
_atom_site_fract_z
_atom_site_occupancy
Si1 Si 0.0000 0.0000 0.0000 1
Si2 Si 0.0000 0.5000 0.2500 1
Ni1 Ni 0.0000 0.0000 0.5000 1
P1 P 0.2418 0.2418 0.6187 1
```


Calculated powder X-ray diffraction pattern of SiNi2P for Cu Kα (weighted mean of Kα1 and Kα2), from a GGA-PBE-relaxed structure.
Peak positions follow from Bragg's law for the DFT cell and can differ from measured ones.

Most intense lines, 10° ≤ 2θ ≤ 80°, by angle:
(0 4 1), 30.27 deg, 2.953 Å, I = 94
(1 4 1), 35.33 deg, 2.541 Å, I = 27
(2 0 0), 36.05 deg, 2.491 Å, I = 33
(1 3 2), 40.80 deg, 2.211 Å, I = 29
(2 4 1), 47.75 deg, 1.905 Å, I = 100
(2 0 2), 47.88 deg, 1.900 Å, I = 42
(1 5 2), 49.07 deg, 1.856 Å, I = 29
(1 1 3), 50.55 deg, 1.806 Å, I = 27
(0 8 0), 53.65 deg, 1.708 Å, I = 30
(0 4 3), 54.00 deg, 1.698 Å, I = 28

Structural model:
```
data_SiNi2P
_cell_length_a 4.9847
_cell_length_b 13.6668
_cell_length_c 5.8709
_cell_angle_alpha 90.00
_cell_angle_beta 90.00
_cell_angle_gamma 90.00
_symmetry_space_group_name_H-M 'P b c a'
_symmetry_Int_Tables_number 61
_symmetry_space_group_name_Hall '-P 2ac 2ab'
loop_
_atom_site_label
_atom_site_type_symbol
_atom_site_fract_x
_atom_site_fract_y
_atom_site_fract_z
_atom_site_occupancy
Si1 Si 0.1806 0.0597 0.0783 1
Ni1 Ni 0.0120 0.0652 0.6966 1
Ni2 Ni 0.0154 0.6776 0.1969 1
P1 P 0.1842 0.6809 0.5615 1
```